Starting from a crystal structure in Alexandria, relaxed with GGA-PBE, the PXRD pattern of Fe10NiN8 was simulated for Cu Kα, 1.54184 Å.

Most intense lines, 10 to 90 degrees two-theta, in order of falling intensity:
2θ (°)  I/Imax
38.47  100
38.72  88
47.70  62
40.38  55
46.26  36
64.23  24
68.61  23
37.75  21
35.28  16
82.58  15
82.73  14
60.68  13

```
19
Lattice="7.732 -1.907 0.000 7.732 1.907 0.000 -1.012 0.000 6.238" Properties=species:S:1:pos:R:3 pbc="T T T"
Fe 0.047 0.000 1.277
Fe 1.742 0.000 4.517
Fe 3.206 0.000 1.036
Fe 4.547 0.000 3.342
Fe 5.304 0.000 6.166
Fe 9.147 0.000 0.071
Fe 9.903 0.000 2.896
Fe 11.244 0.000 5.201
Fe 12.708 0.000 1.721
Fe 14.404 0.000 4.960
Ni 7.225 0.000 3.119
N 0.611 0.000 6.197
N 2.533 0.000 2.784
N 5.012 0.000 1.488
N 6.030 0.000 4.456
N 8.420 0.000 1.782
N 9.438 0.000 4.749
N 11.917 0.000 3.454
N 13.839 0.000 0.040
```


Starting from a crystal structure in Alexandria, relaxed with GGA-PBE, the PXRD pattern of Fe2NiSnN was simulated for Cu Kα, 1.54184 Å.

Most intense lines, 10 to 90 degrees two-theta, in order of falling intensity:
2θ (°)  I/Imax
40.03  100
46.74  37
82.17  24
67.81  23
46.17  19
81.33  12
86.39  12
68.25  11
32.39  10
32.58  7
58.01  4
22.88  4

```
5
Lattice="3.887 0.000 0.000 0.000 3.887 0.000 0.000 0.000 3.932" Properties=species:S:1:pos:R:3 pbc="T T T"
Fe 0.000 1.943 0.000
Fe 1.943 0.000 0.000
Ni 0.000 0.000 1.966
Sn 1.943 1.943 1.966
N 0.000 0.000 0.000
```


Starting from a crystal structure in Alexandria, relaxed with GGA-PBE, the PXRD pattern of NpFe2SiN was simulated for Cu Kα, 1.54184 Å.

Most intense lines, 10 to 90 degrees two-theta, in order of falling intensity:
2θ (°)  I/Imax
37.93  100
30.38  58
36.21  54
16.20  39
35.24  38
38.51  34
27.59  33
67.33  20
25.51  19
41.96  18
64.62  18
54.21  16

```
10
Lattice="1.692 -5.471 0.000 1.692 5.471 0.000 0.000 0.000 6.984" Properties=species:S:1:pos:R:3 pbc="T T T"
Np 1.692 5.080 5.238
Np 1.692 -5.080 1.746
Fe 1.692 1.854 3.865
Fe 1.692 1.854 6.611
Fe 1.692 -1.854 0.373
Fe 1.692 -1.854 3.119
Si 1.692 2.873 1.746
Si 1.692 -2.873 5.238
N 1.692 0.000 0.000
N 1.692 0.000 3.492
```


Starting from a crystal structure in Alexandria, relaxed with GGA-PBE, the PXRD pattern of TmPaFeN4 was simulated for Cu Kα, 1.54184 Å.

Most intense lines, 10 to 90 degrees two-theta, in order of falling intensity:
2θ (°)  I/Imax
33.16  100
34.39  64
25.28  45
60.82  37
46.28  32
49.43  28
30.01  18
59.87  15
81.24  13
58.92  12
56.32  11
58.43  11

```
14
Lattice="3.688 0.000 0.000 0.000 3.688 0.000 0.000 0.000 11.909" Properties=species:S:1:pos:R:3 pbc="T T T"
Tm 0.000 0.000 0.000
Tm 1.844 1.844 5.955
Pa 0.000 0.000 8.557
Pa 1.844 1.844 2.602
Fe 0.000 0.000 4.356
Fe 1.844 1.844 10.311
N 0.000 0.000 2.222
N 0.000 0.000 6.399
N 0.000 1.844 4.244
N 0.000 1.844 10.198
N 1.844 0.000 4.244
N 1.844 0.000 10.198
N 1.844 1.844 0.445
N 1.844 1.844 8.177
```